Entry 1:
The following is a simulated X-ray powder pattern of VP2Pb2O9. It was derived from the GGA+U geometry in Alexandria, using Cu Kα.
Neutral-atom scattering factors, no anomalous dispersion.

Atomic structure:
Cell lengths 9.917, 9.208, 8.946 Å; angles 90.00, 99.55, 90.00 degrees
Atoms (fractional coordinates):
V: 0.065 0.000 0.259
V: 0.065 0.500 0.759
V: 0.935 0.000 0.741
V: 0.935 0.500 0.241
P: 0.031 0.249 0.003
P: 0.031 0.251 0.503
P: 0.425 0.545 0.766
P: 0.425 0.955 0.266
P: 0.575 0.045 0.734
P: 0.575 0.455 0.234
P: 0.969 0.749 0.497
P: 0.969 0.751 0.997
Pb: 0.284 0.643 0.105
Pb: 0.284 0.857 0.605
Pb: 0.362 0.194 0.985
Pb: 0.362 0.306 0.485
Pb: 0.638 0.694 0.515
Pb: 0.638 0.806 0.015
Pb: 0.716 0.143 0.395
Pb: 0.716 0.357 0.895
O: 0.064 0.652 0.920
O: 0.064 0.848 0.420
O: 0.072 0.661 0.611
O: 0.072 0.839 0.111
O: 0.101 0.533 0.268
O: 0.101 0.967 0.768
O: 0.126 0.149 0.113
O: 0.126 0.351 0.613
O: 0.129 0.154 0.425
O: 0.129 0.346 0.925
O: 0.294 0.580 0.834
O: 0.294 0.920 0.334
O: 0.411 0.616 0.605
O: 0.411 0.884 0.105
O: 0.442 0.122 0.248
O: 0.442 0.378 0.748
O: 0.444 0.097 0.625
O: 0.444 0.403 0.125
O: 0.556 0.597 0.875
O: 0.556 0.903 0.375
O: 0.558 0.622 0.252
O: 0.558 0.878 0.752
O: 0.589 0.116 0.895
O: 0.589 0.384 0.395
O: 0.706 0.080 0.666
O: 0.706 0.420 0.166
O: 0.871 0.654 0.075
O: 0.871 0.846 0.575
O: 0.874 0.649 0.387
O: 0.874 0.851 0.887
O: 0.899 0.033 0.232
O: 0.899 0.467 0.732
O: 0.928 0.161 0.889
O: 0.928 0.339 0.389
O: 0.936 0.152 0.580
O: 0.936 0.348 0.080

Most intense lines, 10° ≤ 2θ ≤ 80°, most intense first:
2θ 26.68, rel. 100, hkl 2 1 -2
2θ 24.27, rel. 91, hkl 1 2 1
2θ 22.96, rel. 89, hkl 1 2 -1
2θ 28.01, rel. 87, hkl 0 2 2
2θ 29.57, rel. 75, hkl 2 2 1
2θ 44.67, rel. 69, hkl 1 1 4

=====

Entry 2:
The following is a simulated X-ray powder pattern of VP2PbO8. It was derived from the GGA+U geometry in Alexandria, using Cu Kα.
Neutral-atom scattering factors, no anomalous dispersion.

Atomic structure:
Cell lengths 7.524, 9.092, 9.319 Å; angles 90.00, 90.00, 90.00 degrees
Atoms (fractional coordinates):
V: 0.224 0.250 0.003
V: 0.276 0.750 0.503
V: 0.724 0.250 0.997
V: 0.776 0.750 0.497
P: 0.200 0.030 0.278
P: 0.201 0.531 0.222
P: 0.299 0.469 0.722
P: 0.300 0.970 0.778
P: 0.700 0.470 0.722
P: 0.701 0.969 0.778
P: 0.799 0.031 0.278
P: 0.800 0.530 0.222
Pb: 0.002 0.682 0.902
Pb: 0.498 0.318 0.402
Pb: 0.502 0.818 0.098
Pb: 0.998 0.182 0.598
O: 0.001 0.486 0.264
O: 0.002 0.247 0.032
O: 0.200 0.151 0.391
O: 0.201 0.653 0.111
O: 0.207 0.427 0.864
O: 0.211 0.925 0.636
O: 0.213 0.114 0.829
O: 0.213 0.613 0.668
O: 0.287 0.387 0.168
O: 0.287 0.886 0.329
O: 0.289 0.075 0.136
O: 0.293 0.573 0.364
O: 0.299 0.347 0.611
O: 0.300 0.849 0.891
O: 0.498 0.753 0.532
O: 0.499 0.514 0.764
O: 0.501 0.014 0.736
O: 0.502 0.253 0.968
O: 0.700 0.349 0.609
O: 0.701 0.847 0.889
O: 0.707 0.073 0.136
O: 0.711 0.575 0.364
O: 0.713 0.386 0.171
O: 0.713 0.887 0.332
O: 0.787 0.113 0.832
O: 0.787 0.614 0.671
O: 0.789 0.425 0.864
O: 0.793 0.927 0.636
O: 0.799 0.153 0.389
O: 0.800 0.651 0.109
O: 0.998 0.747 0.468
O: 0.999 0.986 0.236

Most intense lines, 10° ≤ 2θ ≤ 80°, most intense first:
2θ 27.39, rel. 100, hkl 0 2 2
2θ 24.51, rel. 67, hkl 1 1 2
2θ 22.85, rel. 43, hkl 1 2 0
2θ 31.15, rel. 32, hkl 1 0 3
2θ 13.61, rel. 31, hkl 0 1 1
2θ 18.02, rel. 31, hkl 1 1 1